[1]
# MoOs6
Computed X-ray diffraction stick pattern, CuKα. Input: a cell relaxed with GGA-PBE.
Kinematic intensities with the Lorentz-polarization factor, no thermal factor.

Cell and atoms:
```
MoOs6
1.0
0.0000 3.8260 3.8260
3.8260 0.0000 3.8260
3.8260 3.8260 0.0000
Mo Os
1 6
direct
0.0000 0.0000 0.0000 Mo
0.0000 0.0000 0.5000 Os
0.0000 0.5000 0.0000 Os
0.0000 0.5000 0.5000 Os
0.5000 0.0000 0.0000 Os
0.5000 0.0000 0.5000 Os
0.5000 0.5000 0.0000 Os
```

Most intense lines, 2θ = 10–80°, low angle first:
20.10°, 4.418 Å, intensity 4; 23.25°, 3.826 Å, intensity 16; 33.11°, 2.705 Å, intensity 13; 40.85°, 2.209 Å, intensity 100; 47.53°, 1.913 Å, intensity 49; 53.56°, 1.711 Å, intensity 7; 59.15°, 1.562 Å, intensity 5; 69.49°, 1.353 Å, intensity 32; 74.38°, 1.275 Å, intensity 3; 79.16°, 1.210 Å, intensity 2

[2]
# MoOs2Pb
Computed X-ray diffraction stick pattern, CuKα. Input: a cell relaxed with GGA-PBE.
Kinematic intensities with the Lorentz-polarization factor, no thermal factor.

Cell and atoms:
```
MoOs2Pb
1.0
0.0000 3.2252 3.2252
3.2252 0.0000 3.2252
3.2252 3.2252 0.0000
Mo Os Pb
1 2 1
direct
0.0000 0.0000 0.0000 Mo
0.2500 0.2500 0.2500 Os
0.5000 0.5000 0.5000 Os
0.7500 0.7500 0.7500 Pb
```

Most intense lines, 2θ = 10–80°, low angle first:
23.89°, 3.724 Å, intensity 4; 27.66°, 3.225 Å, intensity 3; 39.51°, 2.281 Å, intensity 100; 46.70°, 1.945 Å, intensity 2; 48.91°, 1.862 Å, intensity 1; 57.12°, 1.613 Å, intensity 17; 62.79°, 1.480 Å, intensity 1; 64.62°, 1.442 Å, intensity 1; 71.68°, 1.317 Å, intensity 35; 76.78°, 1.241 Å, intensity 1

[3]
# Mo2OsPt5
Computed X-ray diffraction stick pattern, CuKα. Input: a cell relaxed with GGA-PBE.
Kinematic intensities with the Lorentz-polarization factor, no thermal factor.

Cell and atoms:
```
Mo2OsPt5
1.0
4.5239 0.0000 0.0000
0.0000 2.7629 4.8577
0.0000 -2.7629 4.8577
Mo Os Pt
2 1 5
direct
0.0000 0.0000 0.0000 Mo
0.5000 0.3428 0.3428 Mo
0.5000 0.8432 0.8432 Os
0.0000 0.0035 0.5037 Pt
0.0000 0.4977 0.4977 Pt
0.0000 0.5037 0.0035 Pt
0.5000 0.3351 0.8461 Pt
0.5000 0.8461 0.3351 Pt
```

Most intense lines, 2θ = 10–80°, low angle first:
37.01°, 2.429 Å, intensity 9; 37.45°, 2.402 Å, intensity 29; 39.85°, 2.262 Å, intensity 42; 42.23°, 2.140 Å, intensity 59; 42.62°, 2.121 Å, intensity 100; 55.83°, 1.647 Å, intensity 18; 66.99°, 1.397 Å, intensity 18; 67.84°, 1.381 Å, intensity 9; 73.99°, 1.281 Å, intensity 12; 74.26°, 1.277 Å, intensity 20

[4]
# SiMo2Os
Computed X-ray diffraction stick pattern, CuKα. Input: a cell relaxed with GGA-PBE.
Kinematic intensities with the Lorentz-polarization factor, no thermal factor.

Cell and atoms:
```
SiMo2Os
1.0
0.0000 3.0737 3.0737
3.0737 0.0000 3.0737
3.0737 3.0737 0.0000
Si Mo Os
1 2 1
direct
0.0000 0.0000 0.0000 Si
0.5000 0.5000 0.5000 Mo
0.7500 0.7500 0.7500 Mo
0.2500 0.2500 0.2500 Os
```

Most intense lines, 2θ = 10–80°, low angle first:
25.09°, 3.549 Å, intensity 18; 29.05°, 3.074 Å, intensity 19; 41.55°, 2.173 Å, intensity 100; 49.15°, 1.854 Å, intensity 10; 51.50°, 1.775 Å, intensity 5; 60.21°, 1.537 Å, intensity 17; 66.27°, 1.410 Å, intensity 4; 68.23°, 1.375 Å, intensity 7; 75.81°, 1.255 Å, intensity 34

[5]
# Si2Mo3Os2
Computed X-ray diffraction stick pattern, CuKα. Input: a cell relaxed with GGA-PBE.
Kinematic intensities with the Lorentz-polarization factor, no thermal factor.

Cell and atoms:
```
Si2Mo3Os2
1.0
2.1466 1.2393 6.8420
-2.1466 1.2393 6.8420
0.0000 -2.4786 6.8420
Si Mo Os
2 3 2
direct
0.0000 0.0000 0.0000 Si
0.4761 0.4761 0.4761 Si
0.3515 0.3515 0.3515 Mo
0.6100 0.6100 0.6100 Mo
0.8633 0.8633 0.8633 Mo
0.2126 0.2126 0.2126 Os
0.7433 0.7433 0.7433 Os
```

Most intense lines, 2θ = 10–80°, low angle first:
25.48°, 3.496 Å, intensity 73; 26.05°, 3.421 Å, intensity 19; 32.49°, 2.756 Å, intensity 17; 39.12°, 2.302 Å, intensity 35; 42.10°, 2.147 Å, intensity 100; 42.82°, 2.112 Å, intensity 63; 50.17°, 1.818 Å, intensity 20; 61.61°, 1.505 Å, intensity 21; 76.93°, 1.239 Å, intensity 17; 77.44°, 1.233 Å, intensity 22

[6]
# Zr2Mo3Os2
Computed X-ray diffraction stick pattern, CuKα. Input: a cell relaxed with GGA-PBE.
Kinematic intensities with the Lorentz-polarization factor, no thermal factor.

Cell and atoms:
```
Zr2Mo3Os2
1.0
2.2365 1.2912 7.2228
-2.2365 1.2912 7.2228
0.0000 -2.5825 7.2228
Zr Mo Os
2 3 2
direct
0.0000 0.0000 0.0000 Zr
0.4856 0.4856 0.4856 Zr
0.3659 0.3659 0.3659 Mo
0.6137 0.6137 0.6137 Mo
0.8660 0.8660 0.8660 Mo
0.2442 0.2442 0.2442 Os
0.7471 0.7471 0.7471 Os
```

Most intense lines, 2θ = 10–80°, low angle first:
24.40°, 3.648 Å, intensity 24; 24.65°, 3.611 Å, intensity 6; 28.32°, 3.151 Å, intensity 25; 40.33°, 2.236 Å, intensity 100; 40.64°, 2.220 Å, intensity 93; 47.84°, 1.901 Å, intensity 7; 58.59°, 1.575 Å, intensity 31; 73.32°, 1.291 Å, intensity 17; 73.53°, 1.288 Å, intensity 32; 74.18°, 1.278 Å, intensity 14

[7]
# MoPSe4
Computed X-ray diffraction stick pattern, CuKα. Input: a cell relaxed with GGA-PBE.
Kinematic intensities with the Lorentz-polarization factor, no thermal factor.

Cell and atoms:
```
MoPSe4
1.0
3.3322 0.0000 0.0000
-1.6661 2.8858 0.0000
0.0000 0.0000 13.6613
Mo P Se
1 1 4
direct
0.0000 0.0000 0.0000 Mo
0.3333 0.6667 0.5000 P
0.0000 0.0000 0.3751 Se
0.0000 0.0000 0.6249 Se
0.3333 0.6667 0.1219 Se
0.3333 0.6667 0.8781 Se
```

Most intense lines, 2θ = 10–80°, low angle first:
12.96°, 6.831 Å, intensity 46; 26.09°, 3.415 Å, intensity 16; 30.99°, 2.886 Å, intensity 47; 31.69°, 2.823 Å, intensity 14; 36.87°, 2.438 Å, intensity 100; 45.73°, 1.984 Å, intensity 58; 53.67°, 1.708 Å, intensity 12; 55.12°, 1.666 Å, intensity 33; 68.18°, 1.376 Å, intensity 16; 74.34°, 1.276 Å, intensity 14

[8]
# Sr3Mo2P4
Computed X-ray diffraction stick pattern, CuKα. Input: a cell relaxed with GGA-PBE.
Kinematic intensities with the Lorentz-polarization factor, no thermal factor.

Cell and atoms:
```
Sr3Mo2P4
1.0
6.6136 -5.1164 0.0000
6.6136 5.1164 0.0000
-0.3077 0.0000 6.5586
Sr Mo P
6 4 8
direct
0.0972 0.9028 0.7500 Sr
0.2459 0.5075 0.4557 Sr
0.4925 0.7541 0.0443 Sr
0.5075 0.2459 0.9557 Sr
0.7541 0.4925 0.5443 Sr
0.9028 0.0972 0.2500 Sr
0.0790 0.3343 0.9271 Mo
0.3343 0.0790 0.4271 Mo
0.6657 0.9210 0.5729 Mo
0.9210 0.6657 0.0729 Mo
0.0938 0.2350 0.5893 P
0.2043 0.5610 0.9727 P
0.2350 0.0938 0.0893 P
0.4390 0.7957 0.5273 P
0.5610 0.2043 0.4727 P
0.7650 0.9062 0.9107 P
0.7957 0.4390 0.0273 P
0.9062 0.7650 0.4107 P
```

Most intense lines, 2θ = 10–80°, low angle first:
13.40°, 6.606 Å, intensity 22; 25.37°, 3.511 Å, intensity 63; 26.21°, 3.400 Å, intensity 100; 27.19°, 3.279 Å, intensity 28; 29.09°, 3.070 Å, intensity 37; 31.01°, 2.884 Å, intensity 21; 35.07°, 2.558 Å, intensity 88; 35.63°, 2.520 Å, intensity 51; 38.46°, 2.341 Å, intensity 30; 43.31°, 2.089 Å, intensity 21

[9]
# UMo13P9
Computed X-ray diffraction stick pattern, CuKα. Input: a cell relaxed with GGA-PBE.
Kinematic intensities with the Lorentz-polarization factor, no thermal factor.

Cell and atoms:
```
UMo13P9
1.0
10.8777 0.0000 0.0000
-5.4389 9.4204 0.0000
0.0000 0.0000 3.3056
U Mo P
1 13 9
direct
0.0000 0.0000 0.0000 U
0.0541 0.3824 0.0000 Mo
0.0541 0.6717 0.0000 Mo
0.2806 0.1403 0.5000 Mo
0.3283 0.3824 0.0000 Mo
0.3283 0.9459 0.0000 Mo
0.3333 0.6667 0.0000 Mo
0.5742 0.1484 0.5000 Mo
0.5742 0.4258 0.5000 Mo
0.6176 0.6717 0.0000 Mo
0.6176 0.9459 0.0000 Mo
0.8516 0.4258 0.5000 Mo
0.8597 0.1403 0.5000 Mo
0.8597 0.7194 0.5000 Mo
0.1272 0.2543 0.5000 P
0.1272 0.8728 0.5000 P
0.1398 0.5699 0.5000 P
0.4301 0.5699 0.5000 P
0.4301 0.8602 0.5000 P
0.4655 0.2327 0.0000 P
0.7457 0.8728 0.5000 P
0.7673 0.2327 0.0000 P
0.7673 0.5345 0.0000 P
```

Most intense lines, 2θ = 10–80°, low angle first:
28.62°, 3.119 Å, intensity 20; 34.32°, 2.613 Å, intensity 34; 37.11°, 2.423 Å, intensity 39; 38.21°, 2.355 Å, intensity 35; 39.59°, 2.277 Å, intensity 100; 41.80°, 2.161 Å, intensity 18; 44.18°, 2.050 Å, intensity 24; 50.33°, 1.813 Å, intensity 20; 66.69°, 1.402 Å, intensity 18; 76.40°, 1.247 Å, intensity 20

[10]
# MoPb2
Computed X-ray diffraction stick pattern, CuKα. Input: a cell relaxed with GGA-PBE.
Kinematic intensities with the Lorentz-polarization factor, no thermal factor.

Cell and atoms:
```
MoPb2
1.0
6.4637 0.0000 0.0000
-3.2318 5.5977 0.0000
0.0000 0.0000 10.0070
Mo Pb
4 8
direct
0.3333 0.6667 0.1459 Mo
0.3333 0.6667 0.3541 Mo
0.6667 0.3333 0.6459 Mo
0.6667 0.3333 0.8541 Mo
0.0000 0.0000 0.0000 Pb
0.0000 0.0000 0.5000 Pb
0.1744 0.3489 0.7500 Pb
0.1744 0.8256 0.7500 Pb
0.3489 0.1744 0.2500 Pb
0.6511 0.8256 0.7500 Pb
0.8256 0.1744 0.2500 Pb
0.8256 0.6511 0.2500 Pb
```

Most intense lines, 2θ = 10–80°, low angle first:
15.83°, 5.598 Å, intensity 19; 17.73°, 5.003 Å, intensity 37; 31.21°, 2.865 Å, intensity 19; 32.99°, 2.715 Å, intensity 29; 33.24°, 2.695 Å, intensity 100; 36.79°, 2.443 Å, intensity 50; 39.45°, 2.284 Å, intensity 18; 42.15°, 2.144 Å, intensity 26; 57.00°, 1.616 Å, intensity 46; 67.60°, 1.386 Å, intensity 14

[11]
# ThMoPb
Computed X-ray diffraction stick pattern, CuKα. Input: a cell relaxed with GGA-PBE.
Kinematic intensities with the Lorentz-polarization factor, no thermal factor.

Cell and atoms:
```
ThMoPb
1.0
0.0000 3.4967 3.4967
3.4967 0.0000 3.4967
3.4967 3.4967 0.0000
Th Mo Pb
1 1 1
direct
0.0000 0.0000 0.0000 Th
0.5000 0.5000 0.5000 Mo
0.7500 0.7500 0.7500 Pb
```

Most intense lines, 2θ = 10–80°, low angle first:
22.01°, 4.038 Å, intensity 48; 25.47°, 3.497 Å, intensity 6; 36.33°, 2.473 Å, intensity 100; 42.89°, 2.109 Å, intensity 27; 52.33°, 1.748 Å, intensity 18; 57.44°, 1.604 Å, intensity 12; 59.07°, 1.564 Å, intensity 2; 65.37°, 1.428 Å, intensity 37; 69.89°, 1.346 Å, intensity 9; 77.16°, 1.236 Å, intensity 12

[12]
# TlMo3Pb5
Computed X-ray diffraction stick pattern, CuKα. Input: a cell relaxed with GGA-PBE.
Kinematic intensities with the Lorentz-polarization factor, no thermal factor.

Cell and atoms:
```
TlMo3Pb5
1.0
5.5917 0.0000 0.0000
-2.7958 4.8425 0.0000
0.0000 0.0000 8.7808
Tl Mo Pb
1 3 5
direct
0.0000 0.0000 0.0000 Tl
0.0000 0.5000 0.5000 Mo
0.5000 0.0000 0.5000 Mo
0.5000 0.5000 0.5000 Mo
0.0000 0.0000 0.5000 Pb
0.3333 0.6667 0.2109 Pb
0.3333 0.6667 0.7891 Pb
0.6667 0.3333 0.2109 Pb
0.6667 0.3333 0.7891 Pb
```

Most intense lines, 2θ = 10–80°, low angle first:
27.42°, 3.253 Å, intensity 100; 30.54°, 2.927 Å, intensity 21; 32.01°, 2.796 Å, intensity 97; 41.12°, 2.195 Å, intensity 17; 42.64°, 2.120 Å, intensity 79; 53.04°, 1.727 Å, intensity 22; 54.30°, 1.689 Å, intensity 32; 57.06°, 1.614 Å, intensity 20; 62.45°, 1.487 Å, intensity 17; 66.94°, 1.398 Å, intensity 22